Record 1
V4FeCuO12: computed powder diffraction line list (CuKα), based on a DFT-relaxed cell (PBE+U, the Materials Project).

Principal peaks in the range 10 to 80 degrees two-theta, by angle:
2θ (°)	I (rel.)
13.54	26.3
18.33	48.5
19.61	45.4
23.36	25.8
28.17	100.0
30.01	61.5
32.25	46.9
35.01	27.6
44.96	23.0
50.54	18.1
54.76	19.4
56.24	15.1

Structure:
```
V4FeCuO12
1.0
5.0394 -4.5273 0.0000
5.0394 4.5273 0.0000
-2.0424 0.0000 5.5520
V Fe Cu O
4 1 1 12
direct
0.2001 0.2001 0.4908
0.3877 0.0264 0.0027
0.7999 0.7999 0.5092
0.9736 0.6123 0.9973
0.6734 0.3266 0.5000
0.4955 0.5045 0.0000
0.2025 0.4903 0.0106
0.2158 0.0519 0.1991
0.2514 0.0421 0.7004
0.3912 0.3710 0.5843
0.5097 0.7975 0.9894
0.5545 0.2258 0.1349
0.6290 0.6088 0.4157
0.6830 0.0380 0.5264
0.7742 0.4455 0.8651
0.9481 0.7842 0.8009
0.9579 0.7486 0.2996
0.9620 0.3170 0.4736
```

---

Record 2
Li3Cr3NiO8: computed powder diffraction line list (CuKα), based on a DFT-relaxed cell (PBE+U, the Materials Project).

Principal peaks in the range 10 to 80 degrees two-theta, by angle:
2θ (°)	I (rel.)
18.28	100.0
35.70	12.5
35.97	24.3
37.49	10.1
43.15	22.7
43.58	43.8
47.44	7.3
56.91	6.2
57.42	9.4
62.72	11.4
63.28	12.2
63.66	5.9

Structure:
```
Li3Cr3NiO8
1.0
10.2002 0.0000 0.0000
0.0000 5.8466 0.0000
-3.4819 0.0000 9.7044
Li Cr Ni O
12 12 4 32
direct
0.0000 0.0000 0.0000
0.0000 0.0000 0.5000
0.2492 0.2450 0.4981
0.2492 0.7550 0.4981
0.2510 0.2521 0.9994
0.2510 0.7479 0.9994
0.5000 0.0000 0.0000
0.5000 0.5000 0.5000
0.7490 0.2521 0.0006
0.7490 0.7479 0.0006
0.7508 0.2450 0.5019
0.7508 0.7550 0.5019
0.0005 0.2502 0.7496
0.0005 0.7498 0.7496
0.2459 0.5000 0.2443
0.2510 0.5000 0.7486
0.4989 0.2490 0.2493
0.4989 0.7510 0.2493
0.5011 0.2490 0.7507
0.5011 0.7510 0.7507
0.7490 0.5000 0.2514
0.7541 0.5000 0.7557
0.9995 0.2502 0.2504
0.9995 0.7498 0.2504
0.2507 0.0000 0.7516
0.2527 0.0000 0.2546
0.7473 0.0000 0.7454
0.7493 0.0000 0.2484
0.1169 0.0000 0.3668
0.1224 0.0000 0.8631
0.1232 0.5000 0.3568
0.1247 0.5000 0.8574
0.1316 0.2500 0.1440
0.1316 0.7500 0.1440
0.1352 0.2402 0.6451
0.1352 0.7598 0.6451
0.3662 0.2415 0.8554
0.3662 0.7585 0.8554
0.3670 0.2665 0.3556
0.3670 0.7335 0.3556
0.3748 0.0000 0.6436
0.3753 0.5000 0.1393
0.3798 0.5000 0.6369
0.3822 0.0000 0.1351
0.6178 0.0000 0.8649
0.6202 0.5000 0.3631
0.6252 0.0000 0.3564
0.6247 0.5000 0.8607
0.6330 0.2665 0.6444
0.6330 0.7335 0.6444
0.6338 0.2415 0.1446
0.6338 0.7585 0.1446
0.8648 0.2402 0.3549
0.8648 0.7598 0.3549
0.8684 0.2500 0.8560
0.8684 0.7500 0.8560
0.8753 0.5000 0.1426
0.8768 0.5000 0.6432
0.8776 0.0000 0.1369
0.8831 0.0000 0.6332
```

---

Record 3
KPrNi4O12: computed powder diffraction line list (CuKα), based on a DFT-relaxed cell (PBE+U, the Materials Project).

Principal peaks in the range 10 to 80 degrees two-theta, by angle:
2θ (°)	I (rel.)
11.42	16.2
16.21	16.7
19.87	56.7
22.99	19.8
32.73	100.0
38.55	19.3
46.90	31.6
47.10	15.9
51.47	12.8
58.38	26.3
58.51	12.6
68.65	17.1

Structure:
```
KPrNi4O12
1.0
7.7502 0.0000 0.0000
0.0000 3.8744 3.8588
0.0000 -3.8744 3.8588
K Pr Ni O
1 1 4 12
direct
0.0000 0.0000 0.0000
0.5000 0.5059 0.5059
0.2464 0.0008 0.4996
0.2464 0.4996 0.0008
0.7536 0.0008 0.4996
0.7536 0.4996 0.0008
0.0000 0.0063 0.4962
0.0000 0.4962 0.0063
0.2594 0.7400 0.7400
0.2656 0.2700 0.7317
0.2656 0.7317 0.2700
0.2745 0.2626 0.2626
0.5000 0.5068 0.9827
0.5000 0.9827 0.5068
0.7255 0.2626 0.2626
0.7344 0.2700 0.7317
0.7344 0.7317 0.2700
0.7406 0.7400 0.7400
```

---

Record 4
BaPr2Mn3O9: computed powder diffraction line list (CuKα), based on a DFT-relaxed cell (PBE+U, the Materials Project).

Principal peaks in the range 10 to 80 degrees two-theta, by angle:
2θ (°)	I (rel.)
22.42	21.1
31.77	31.4
31.97	67.3
32.10	100.0
39.58	19.2
45.76	41.8
46.13	20.0
56.63	13.5
56.91	19.9
57.09	12.9
57.19	13.2
57.29	20.3

Structure:
```
BaPr2Mn3O9
1.0
4.8543 -2.7917 0.0000
4.8543 2.7917 0.0000
-0.1853 0.0000 13.6997
Ba Pr Mn O
2 4 6 18
direct
0.0058 0.0058 0.2500
0.9942 0.9942 0.7500
0.3242 0.3242 0.9240
0.3410 0.3410 0.4195
0.6590 0.6590 0.5805
0.6758 0.6758 0.0760
0.0000 0.0000 0.0000
0.0000 0.0000 0.5000
0.3312 0.3312 0.6674
0.3366 0.3366 0.1696
0.6634 0.6634 0.8304
0.6688 0.6688 0.3326
0.0307 0.5103 0.2662
0.1434 0.6422 0.0691
0.1589 0.1589 0.0930
0.1886 0.1886 0.5590
0.2031 0.6758 0.5862
0.3242 0.7969 0.4138
0.3578 0.8566 0.9309
0.4702 0.4702 0.7765
0.4897 0.9693 0.7338
0.5103 0.0307 0.2662
0.5298 0.5298 0.2235
0.6422 0.1434 0.0691
0.6758 0.2031 0.5862
0.7969 0.3242 0.4138
0.8114 0.8114 0.4410
0.8411 0.8411 0.9070
0.8566 0.3578 0.9309
0.9693 0.4897 0.7338
```

---

Record 5
Li8V11O22: computed powder diffraction line list (CuKα), based on a DFT-relaxed cell (PBE+U, the Materials Project).

Principal peaks in the range 10 to 80 degrees two-theta, by angle:
2θ (°)	I (rel.)
17.98	100.0
35.09	11.9
35.33	11.6
35.50	11.7
36.89	7.2
42.36	24.7
42.76	23.6
43.02	23.4
46.62	6.7
62.05	6.5
62.30	6.5
62.61	6.3

Structure:
```
Li8V11O22
1.0
5.1834 0.0000 0.0000
-0.7809 8.8925 0.0000
-0.9634 -4.2081 9.0559
Li V O
8 11 22
direct
0.0343 0.1720 0.0853
0.1523 0.5538 0.2725
0.2275 0.9120 0.4543
0.4037 0.6334 0.8166
0.5963 0.3666 0.1834
0.7725 0.0880 0.5457
0.8477 0.4462 0.7275
0.9657 0.8280 0.9147
0.0406 0.6817 0.5861
0.1474 0.0499 0.7778
0.2234 0.4097 0.9476
0.3230 0.7755 0.1363
0.4053 0.1407 0.3189
0.5000 0.5000 0.5000
0.5947 0.8593 0.6811
0.6770 0.2245 0.8637
0.7766 0.5903 0.0524
0.8526 0.9501 0.2222
0.9594 0.3183 0.4139
0.0088 0.7566 0.2385
0.0775 0.1024 0.4081
0.0897 0.6155 0.9413
0.1627 0.9727 0.1269
0.1864 0.4844 0.6001
0.2675 0.8397 0.7745
0.2814 0.3441 0.3083
0.3456 0.2015 0.9599
0.3599 0.6881 0.4839
0.4464 0.5684 0.1411
0.4560 0.0554 0.6700
0.5440 0.9446 0.3300
0.5536 0.4316 0.8589
0.6401 0.3119 0.5161
0.6544 0.7985 0.0401
0.7186 0.6559 0.6917
0.7325 0.1603 0.2255
0.8136 0.5156 0.3999
0.8373 0.0273 0.8731
0.9103 0.3845 0.0587
0.9225 0.8976 0.5919
0.9912 0.2434 0.7615
```

---

Record 6
Li7Cr2O8: computed powder diffraction line list (CuKα), based on a DFT-relaxed cell (PBE+U, the Materials Project).

Principal peaks in the range 10 to 80 degrees two-theta, by angle:
2θ (°)	I (rel.)
19.33	49.9
21.62	62.5
22.04	100.0
24.12	25.6
25.93	45.4
27.60	52.4
31.25	37.6
35.57	22.5
42.21	20.9
43.53	20.4
43.72	18.2
62.38	21.6

Structure:
```
Li7Cr2O8
1.0
5.1766 0.0000 0.0000
1.8981 4.8262 0.0000
0.9485 2.3773 7.3788
Li Cr O
7 2 8
direct
0.0000 0.0000 0.0000
0.0077 0.7383 0.4059
0.4852 0.2716 0.4004
0.5062 0.4489 0.9737
0.5216 0.7027 0.6137
0.9560 0.3096 0.2139
0.9863 0.5395 0.8635
0.5206 0.8893 0.1741
0.9585 0.1030 0.6463
0.0835 0.3023 0.4511
0.2069 0.8108 0.7900
0.2474 0.1977 0.0429
0.4083 0.6834 0.3838
0.7240 0.6639 0.0444
0.7458 0.0639 0.2134
0.7630 0.9440 0.5827
0.7887 0.3318 0.7772
```